No. 1
Computed XRD peak list of Ho6ThMg2 for Cu Kα, 1.54184 Å, from a cell relaxed with PBE.
No peak broadening, texture or thermal motion is included.

The 8 most intense peaks (2θ = 15–90°), by angle:
2θ (°)  Rel. int.
24.4  49
29.7  24
31.5  100
32.3  27
32.6  27
35.4  26
36.7  30
37.5  45

Crystal structure
abc: 8.2465 8.2465 8.2465
angles: 47.25 47.25 47.25
Element x y z (fractional)
Ho 0.0019 0.5378 0.4603
Ho 0.3231 0.3619 0.8378
Ho 0.3619 0.8378 0.3231
Ho 0.4603 0.0019 0.5378
Ho 0.5378 0.4603 0.0019
Ho 0.8378 0.3231 0.3619
Th 0.7882 0.7882 0.7882
Mg 0.0581 0.0581 0.0581
Mg 0.9287 0.9287 0.9287

***

No. 2
Computed XRD peak list of Li3NdCu8 for Cu Kα, 1.54184 Å, from a cell relaxed with PBE.
No peak broadening, texture or thermal motion is included.

The 8 most intense peaks (2θ = 15–90°), by angle:
2θ (°)  Rel. int.
20.5  56
23.2  64
29.9  32
38.7  49
42.2  91
43.1  100
43.8  27
47.3  39

Crystal structure
abc: 5.0096 5.0096 8.2635
angles: 90.00 90.00 120.00
Element x y z (fractional)
Li 0.0000 0.0000 0.0000
Li 0.0000 0.0000 0.3399
Li 0.3333 0.6667 0.9124
Nd 0.3333 0.6667 0.5105
Cu 0.9999 0.4999 0.1900
Cu 0.3292 0.1646 0.7070
Cu 0.5001 0.0001 0.1900
Cu 0.5001 0.4999 0.1900
Cu 0.6667 0.3333 0.4430
Cu 0.6667 0.3333 0.9460
Cu 0.8354 0.1646 0.7070
Cu 0.8354 0.6708 0.7070